Diffraction record for Li4Mn3CoO8. The X-ray powder pattern is theoretical, not measured: it uses a GGA+U-relaxed structure and copper Kα.

Unit cell a=5.137 b=5.137 c=10.909 alpha=95.00 beta=95.00 gamma=32.28
Fractional coordinates of all 16 atoms:
Li1 0.245 0.245 0.114
Li2 0.249 0.249 0.622
Li3 0.751 0.751 0.378
Li4 0.755 0.755 0.886
Mn1 0.009 0.009 0.758
Mn2 0.500 0.500 0.500
Mn3 0.991 0.991 0.242
Co1 0.500 0.500 0.000
O1 0.116 0.116 0.444
O2 0.122 0.122 0.945
O3 0.380 0.380 0.305
O4 0.395 0.395 0.819
O5 0.605 0.605 0.181
O6 0.620 0.620 0.695
O7 0.878 0.878 0.055
O8 0.884 0.884 0.556

Principal peaks in the range 10 to 80 degrees two-theta, by angle:
two_theta	intensity
18.05	100.0
32.98	20.8
36.32	29.4
39.33	35.0
44.32	49.2
60.56	16.2

---

Diffraction record for Li7Mn2Co3O12. The X-ray powder pattern is theoretical, not measured: it uses a GGA+U-relaxed structure and copper Kα.

Unit cell a=2.910 b=12.116 c=12.699 alpha=107.22 beta=90.15 gamma=94.81
Fractional coordinates of all 48 atoms:
Li1 0.000 0.000 0.000
Li2 0.045 0.085 0.699
Li3 0.110 0.244 0.121
Li4 0.205 0.419 0.545
Li5 0.289 0.582 0.956
Li6 0.390 0.759 0.376
Li7 0.451 0.917 0.800
Li8 0.499 0.002 0.500
Li9 0.546 0.086 0.200
Li10 0.609 0.243 0.620
Li11 0.706 0.420 0.045
Li12 0.788 0.584 0.454
Li13 0.888 0.759 0.878
Li14 0.951 0.917 0.300
Mn1 0.072 0.164 0.421
Mn2 0.433 0.839 0.082
Mn3 0.571 0.163 0.921
Mn4 0.926 0.838 0.577
Co1 0.149 0.333 0.830
Co2 0.240 0.502 0.247
Co3 0.348 0.669 0.669
Co4 0.646 0.334 0.330
Co5 0.748 0.501 0.750
Co6 0.849 0.669 0.168
O1 0.031 0.058 0.860
O2 0.062 0.131 0.552
O3 0.079 0.216 0.281
O4 0.114 0.279 0.970
O5 0.159 0.386 0.694
O6 0.228 0.455 0.386
O7 0.247 0.549 0.111
O8 0.337 0.616 0.806
O9 0.381 0.722 0.528
O10 0.435 0.868 0.948
O11 0.440 0.788 0.219
O12 0.465 0.943 0.640
O13 0.532 0.059 0.359
O14 0.562 0.131 0.053
O15 0.578 0.215 0.780
O16 0.615 0.281 0.470
O17 0.647 0.385 0.194
O18 0.730 0.452 0.887
O19 0.765 0.550 0.612
O20 0.835 0.619 0.299
O21 0.886 0.720 0.035
O22 0.918 0.787 0.719
O23 0.936 0.871 0.447
O24 0.973 0.944 0.141

Principal peaks in the range 10 to 80 degrees two-theta, by angle:
two_theta	intensity
18.45	100.0
42.78	31.0
43.99	27.6
44.42	26.8
62.72	15.6
64.03	14.6

---

Diffraction record for Li3Mn3CoO8. The X-ray powder pattern is theoretical, not measured: it uses a GGA+U-relaxed structure and copper Kα.

Unit cell a=5.831 b=5.840 c=10.235 alpha=75.83 beta=75.66 gamma=62.05
Fractional coordinates of all 30 atoms:
Li1 0.237 0.257 0.252
Li2 0.239 0.253 0.753
Li3 0.240 0.742 0.257
Li4 0.760 0.258 0.743
Li5 0.761 0.747 0.247
Li6 0.763 0.743 0.748
Mn1 0.000 0.000 0.000
Mn2 0.000 0.000 0.500
Mn3 0.000 0.500 0.000
Mn4 0.500 0.000 0.500
Mn5 0.500 0.500 0.000
Mn6 0.500 0.500 0.500
Co1 0.000 0.500 0.500
Co2 0.500 0.000 0.000
O1 0.101 0.155 0.610
O2 0.115 0.614 0.123
O3 0.123 0.146 0.105
O4 0.129 0.643 0.602
O5 0.350 0.901 0.386
O6 0.354 0.374 0.398
O7 0.357 0.376 0.894
O8 0.368 0.869 0.896
O9 0.632 0.131 0.104
O10 0.643 0.624 0.106
O11 0.646 0.626 0.602
O12 0.650 0.099 0.614
O13 0.871 0.357 0.398
O14 0.877 0.854 0.895
O15 0.885 0.386 0.877
O16 0.899 0.845 0.390

Principal peaks in the range 10 to 80 degrees two-theta, by angle:
two_theta	intensity
18.10	100.0
35.23	25.7
36.71	15.3
42.34	23.0
42.49	22.8
44.66	19.7

---

Diffraction record for Li7Mn2Co3O12. The X-ray powder pattern is theoretical, not measured: it uses a GGA+U-relaxed structure and copper Kα.

Unit cell a=2.895 b=5.182 c=14.493 alpha=90.18 beta=91.19 gamma=90.45
Fractional coordinates of all 24 atoms:
Li1 0.000 0.000 0.000
Li2 0.001 0.330 0.662
Li3 0.475 0.496 0.511
Li4 0.490 0.838 0.670
Li5 0.495 0.822 0.163
Li6 0.503 0.159 0.827
Li7 0.977 0.664 0.338
Mn1 0.003 0.676 0.830
Mn2 0.477 0.160 0.335
Co1 0.502 0.494 0.000
Co2 0.980 0.327 0.166
Co3 0.985 0.974 0.514
O1 0.024 0.360 0.921
O2 0.464 0.463 0.251
O3 0.480 0.869 0.415
O4 0.491 0.160 0.577
O5 0.495 0.516 0.762
O6 0.502 0.173 0.086
O7 0.513 0.809 0.911
O8 0.970 0.013 0.259
O9 0.983 0.645 0.082
O10 0.985 0.679 0.576
O11 0.986 0.310 0.406
O12 0.997 0.968 0.760

Principal peaks in the range 10 to 80 degrees two-theta, by angle:
two_theta	intensity
18.20	100.0
35.44	13.2
35.83	13.4
42.84	27.6
43.21	28.2
44.20	26.3

---

Diffraction record for Li7Mn2Co3O12. The X-ray powder pattern is theoretical, not measured: it uses a GGA+U-relaxed structure and copper Kα.

Unit cell a=2.984 b=5.989 c=12.499 alpha=76.85 beta=89.11 gamma=87.75
Fractional coordinates of all 24 atoms:
Li1 0.000 0.000 0.000
Li2 0.001 0.361 0.316
Li3 0.491 0.168 0.153
Li4 0.500 0.514 0.495
Li5 0.503 0.843 0.828
Li6 0.510 0.696 0.154
Li7 0.994 0.678 0.662
Mn1 0.498 0.011 0.494
Mn2 0.988 0.842 0.319
Co1 0.001 0.519 0.000
Co2 0.004 0.182 0.663
Co3 0.501 0.345 0.830
O1 0.000 0.926 0.170
O2 0.007 0.109 0.820
O3 0.038 0.253 0.499
O4 0.458 0.277 0.986
O5 0.477 0.066 0.330
O6 0.493 0.418 0.669
O7 0.502 0.626 0.324
O8 0.514 0.945 0.655
O9 0.534 0.742 0.991
O10 0.955 0.776 0.485
O11 0.993 0.576 0.840
O12 0.999 0.434 0.142

Principal peaks in the range 10 to 80 degrees two-theta, by angle:
two_theta	intensity
18.31	100.0
34.88	17.0
36.05	13.0
41.93	32.8
43.70	28.7
44.67	25.8

---

Diffraction record for Li3MnCoO5. The X-ray powder pattern is theoretical, not measured: it uses a GGA+U-relaxed structure and copper Kα.

Unit cell a=2.995 b=2.995 c=24.484 alpha=91.20 beta=91.20 gamma=57.20
Fractional coordinates of all 20 atoms:
Li1 0.000 0.000 0.000
Li2 0.195 0.195 0.599
Li3 0.401 0.401 0.202
Li4 0.501 0.501 0.503
Li5 0.599 0.599 0.800
Li6 0.810 0.810 0.408
Mn1 0.104 0.104 0.302
Mn2 0.700 0.700 0.102
Co1 0.301 0.301 0.901
Co2 0.899 0.899 0.703
O1 0.074 0.074 0.149
O2 0.149 0.149 0.451
O3 0.265 0.265 0.747
O4 0.327 0.327 0.055
O5 0.464 0.464 0.345
O6 0.541 0.541 0.661
O7 0.646 0.646 0.947
O8 0.735 0.735 0.255
O9 0.853 0.853 0.555
O10 0.957 0.957 0.856

Principal peaks in the range 10 to 80 degrees two-theta, by angle:
two_theta	intensity
18.12	100.0
34.39	18.9
36.35	23.8
41.29	37.1
44.08	59.0
62.10	18.2

---

Diffraction record for Li2MnCoO4. The X-ray powder pattern is theoretical, not measured: it uses a GGA+U-relaxed structure and copper Kα.

Unit cell a=5.041 b=5.810 c=6.061 alpha=61.88 beta=78.72 gamma=72.97
Fractional coordinates of all 16 atoms:
Li1 0.245 0.127 0.375
Li2 0.255 0.623 0.874
Li3 0.745 0.377 0.126
Li4 0.755 0.873 0.625
Mn1 0.249 0.128 0.871
Mn2 0.751 0.872 0.129
Co1 0.251 0.623 0.378
Co2 0.749 0.377 0.622
O1 0.002 0.974 0.256
O2 0.005 0.518 0.254
O3 0.497 0.723 0.504
O4 0.500 0.231 0.001
O5 0.500 0.769 0.999
O6 0.503 0.277 0.496
O7 0.995 0.482 0.746
O8 0.998 0.026 0.744

Principal peaks in the range 10 to 80 degrees two-theta, by angle:
two_theta	intensity
18.22	100.0
33.26	22.4
36.59	28.5
39.76	35.2
44.67	47.1
61.06	15.9

---

Diffraction record for Li7Mn4CoO12. The X-ray powder pattern is theoretical, not measured: it uses a GGA+U-relaxed structure and copper Kα.

Unit cell a=5.209 b=2.874 c=14.624 alpha=90.00 beta=92.81 gamma=90.00
Fractional coordinates of all 24 atoms:
Li1 0.000 0.000 0.000
Li2 0.000 0.000 0.500
Li3 0.169 0.500 0.332
Li4 0.327 0.000 0.159
Li5 0.500 0.500 0.000
Li6 0.673 0.000 0.841
Li7 0.831 0.500 0.668
Mn1 0.145 0.500 0.841
Mn2 0.325 0.000 0.668
Mn3 0.675 0.000 0.332
Mn4 0.855 0.500 0.159
Co1 0.500 0.500 0.500
O1 0.003 0.000 0.761
O2 0.135 0.500 0.091
O3 0.174 0.500 0.591
O4 0.320 0.000 0.908
O5 0.349 0.000 0.426
O6 0.460 0.500 0.748
O7 0.540 0.500 0.252
O8 0.651 0.000 0.574
O9 0.680 0.000 0.092
O10 0.826 0.500 0.409
O11 0.865 0.500 0.909
O12 0.997 0.000 0.239

Principal peaks in the range 10 to 80 degrees two-theta, by angle:
two_theta	intensity
18.38	100.0
34.46	16.3
36.30	24.7
41.63	32.4
44.20	56.5
62.55	16.0